The following is a calculated XRD peak list of Rb3Ce2CuSe6. It was derived from a DFT-relaxed cell (GGA-PBE, Alexandria), using Cu Kα, 1.54184 Å.
No peak broadening, texture or thermal motion is included.

Peak list (10 most intense, 2θ = 10–90°, by intensity)
- 2θ = 27.93°, rel. 100
- 2θ = 29.34°, rel. 37
- 2θ = 43.12°, rel. 30
- 2θ = 11.21°, rel. 26
- 2θ = 38.69°, rel. 25
- 2θ = 40.38°, rel. 18
- 2θ = 39.43°, rel. 17
- 2θ = 50.70°, rel. 14
- 2θ = 57.72°, rel. 9
- 2θ = 53.59°, rel. 9

Atomic structure:
Unit cell a=7.1298 b=13.4013 c=8.2250 alpha=90.00 beta=106.37 gamma=90.00
Space group C2/m (No. 12)
Asymmetric unit:
Rb1 0.0000 0.0000 0.0000 x2
Rb2 0.0000 0.3448 0.0000 x4
Ce1 0.0000 0.1650 0.5000 x4
Cu1 0.0000 0.5000 0.5000 x2
Se1 0.2417 0.5000 0.3347 x4
Se2 0.2437 0.3179 0.7051 x8

***

The following is a calculated XRD peak list of Si3Ir3Au. It was derived from a DFT-relaxed cell (GGA-PBE, Alexandria), using Cu Kα, 1.54184 Å.
No peak broadening, texture or thermal motion is included.

Peak list (10 most intense, 2θ = 10–90°, by intensity)
- 2θ = 33.63°, rel. 100
- 2θ = 30.62°, rel. 75
- 2θ = 52.45°, rel. 57
- 2θ = 27.32°, rel. 43
- 2θ = 56.38°, rel. 24
- 2θ = 50.40°, rel. 20
- 2θ = 65.53°, rel. 18
- 2θ = 80.61°, rel. 17
- 2θ = 83.84°, rel. 16
- 2θ = 63.76°, rel. 16

Atomic structure:
Unit cell a=6.5278 b=6.5278 c=6.5278 alpha=90.00 beta=90.00 gamma=90.00
Space group Pm-3n (No. 223)
Asymmetric unit:
Si1 0.0000 0.2500 0.5000 x6
Ir1 0.0000 0.5000 0.2500 x6
Au1 0.0000 0.0000 0.0000 x2